Record 1
Structure and computed XRD peak list of SbAu2Cl8 (a PBE-relaxed structure; copper Kα).
Intensities are scaled so that the largest is 100.

```
data_SbAu2Cl8
_chemical_formula_sum 'Sb2 Au4 Cl16'
_space_group_name_H-M_alt 'C 1 2/m 1'
_space_group_IT_number 12
_space_group_name_Hall '-C 2y'
_cell_length_a 13.6407
_cell_length_b 8.0164
_cell_length_c 6.8605
_cell_angle_alpha 90.00
_cell_angle_beta 95.41
_cell_angle_gamma 90.00
loop_
_atom_site_label
_atom_site_type_symbol
_atom_site_fract_x
_atom_site_fract_y
_atom_site_fract_z
Sb1 Sb 0.0000 0.0000 0.0000
Au1 Au 0.2195 0.0000 0.7155
Cl1 Cl 0.1001 0.2085 0.8413
Cl2 Cl 0.1175 0.0000 0.2808
Cl3 Cl 0.1353 0.5000 0.4180
```

Peak list (10 most intense, 2θ from 15° to 90°, in order of rising 2θ)
- (1 1 -1), 2θ 17.83, I 18.0
- (1 1 1), 2θ 18.71, I 100.0
- (2 0 1), 2θ 19.28, I 24.9
- (0 2 0), 2θ 22.18, I 34.2
- (3 1 -1), 2θ 25.14, I 35.0
- (2 2 0), 2θ 25.81, I 15.7
- (2 0 2), 2θ 30.39, I 18.4
- (3 1 2), 2θ 36.16, I 62.9
- (3 3 -1), 2θ 40.78, I 19.0
- (6 2 1), 2θ 49.16, I 13.8



Record 2
Structure and computed XRD peak list of Sb4Au2Cl3 (a PBE-relaxed structure; copper Kα).
Intensities are scaled so that the largest is 100.

```
data_Sb4Au2Cl3
_chemical_formula_sum 'Sb16 Au8 Cl12'
_space_group_name_H-M_alt 'I m m a'
_space_group_IT_number 74
_space_group_name_Hall '-I 2b 2'
_cell_length_a 5.5514
_cell_length_b 14.0842
_cell_length_c 12.8264
_cell_angle_alpha 90.00
_cell_angle_beta 90.00
_cell_angle_gamma 90.00
loop_
_atom_site_label
_atom_site_type_symbol
_atom_site_fract_x
_atom_site_fract_y
_atom_site_fract_z
Sb1 Sb 0.0000 0.0637 0.1619
Sb2 Sb 0.0000 0.1433 0.5729
Au1 Au 0.0000 0.0667 0.3779
Cl1 Cl 0.0000 0.1320 0.8826
Cl2 Cl 0.0000 0.2500 0.1505
```

Peak list (10 most intense, 2θ from 15° to 90°, in order of rising 2θ)
- (1 0 1), 2θ 17.41, I 77.0
- (0 3 1), 2θ 20.14, I 76.8
- (0 0 4), 2θ 27.82, I 74.4
- (2 0 0), 2θ 32.25, I 100.0
- (0 5 1), 2θ 32.54, I 72.0
- (0 5 3), 2θ 38.29, I 81.5
- (2 0 4), 2θ 43.10, I 45.0
- (1 5 4), 2θ 45.90, I 38.5
- (2 5 1), 2θ 46.47, I 52.5
- (2 5 3), 2θ 50.90, I 43.3



Record 3
Structure and computed XRD peak list of ScAuCl (a PBE-relaxed structure; copper Kα).
Intensities are scaled so that the largest is 100.

```
data_ScAuCl
_chemical_formula_sum 'Sc2 Au2 Cl2'
_space_group_name_H-M_alt 'I 4 m m'
_space_group_IT_number 107
_space_group_name_Hall 'I 4 -2'
_cell_length_a 3.2010
_cell_length_b 3.2010
_cell_length_c 13.5596
_cell_angle_alpha 90.00
_cell_angle_beta 90.00
_cell_angle_gamma 90.00
loop_
_atom_site_label
_atom_site_type_symbol
_atom_site_fract_x
_atom_site_fract_y
_atom_site_fract_z
Sc1 Sc 0.0000 0.0000 0.0000
Au1 Au 0.0000 0.0000 0.6310
Cl1 Cl 0.0000 0.0000 0.3872
```

Peak list (10 most intense, 2θ from 15° to 90°, in order of rising 2θ)
- (0 0 4), 2θ 26.29, I 31.4
- (1 0 1), 2θ 28.65, I 79.7
- (1 0 3), 2θ 34.33, I 100.0
- (1 1 0), 2θ 39.84, I 54.7
- (1 1 2), 2θ 42.09, I 28.6
- (1 0 5), 2θ 43.75, I 52.2
- (1 1 4), 2θ 48.35, I 24.5
- (2 0 0), 2θ 57.61, I 28.2
- (2 1 3), 2θ 68.81, I 35.1
- (2 1 5), 2θ 75.03, I 21.1



Record 4
Structure and computed XRD peak list of Au2SeCl6 (a PBE-relaxed structure; copper Kα).
Intensities are scaled so that the largest is 100.

```
data_Au2SeCl6
_chemical_formula_sum 'Au8 Se4 Cl24'
_space_group_name_H-M_alt 'C 1 2/c 1'
_space_group_IT_number 15
_space_group_name_Hall '-C 2yc'
_cell_length_a 14.0818
_cell_length_b 14.3439
_cell_length_c 6.3093
_cell_angle_alpha 90.00
_cell_angle_beta 99.92
_cell_angle_gamma 90.00
loop_
_atom_site_label
_atom_site_type_symbol
_atom_site_fract_x
_atom_site_fract_y
_atom_site_fract_z
Au1 Au 0.1134 0.0005 0.3069
Se1 Se 0.0000 0.4198 0.2500
Cl1 Cl 0.0966 0.3173 0.1357
Cl2 Cl 0.1057 0.4354 0.5976
Cl3 Cl 0.1193 0.1195 0.5604
```

Peak list (10 most intense, 2θ from 15° to 90°, in order of rising 2θ)
- (1 3 0), 2θ 19.64, I 100.0
- (3 1 0), 2θ 20.18, I 84.3
- (4 0 0), 2θ 25.69, I 74.0
- (4 2 0), 2θ 28.59, I 55.9
- (1 1 -2), 2θ 29.02, I 52.0
- (5 1 0), 2θ 32.88, I 46.5
- (1 3 -2), 2θ 34.08, I 54.0
- (3 1 2), 2θ 38.09, I 54.5
- (1 5 -2), 2θ 42.62, I 42.5
- (5 3 -2), 2θ 44.14, I 44.4



Record 5
Structure and computed XRD peak list of AuSe2Cl2 (a PBE-relaxed structure; copper Kα).
Intensities are scaled so that the largest is 100.

```
data_AuSe2Cl2
_chemical_formula_sum 'Au1 Se2 Cl2'
_space_group_name_H-M_alt 'P -1'
_space_group_IT_number 2
_space_group_name_Hall '-P 1'
_cell_length_a 4.4346
_cell_length_b 5.9921
_cell_length_c 6.6348
_cell_angle_alpha 106.00
_cell_angle_beta 91.20
_cell_angle_gamma 110.87
loop_
_atom_site_label
_atom_site_type_symbol
_atom_site_fract_x
_atom_site_fract_y
_atom_site_fract_z
Au1 Au 0.0000 0.0000 0.0000
Se1 Se 0.1499 0.3991 0.8995
Cl1 Cl 0.2506 0.8790 0.7083
```

Peak list (10 most intense, 2θ from 15° to 90°, in order of rising 2θ)
- (0 1 0), 2θ 16.61, I 26.7
- (1 0 0), 2θ 21.64, I 84.7
- (-1 1 1), 2θ 27.17, I 37.0
- (1 0 1), 2θ 27.42, I 100.0
- (0 2 -1), 2θ 32.25, I 75.4
- (0 2 -2), 2θ 36.92, I 26.2
- (-1 1 2), 2θ 37.70, I 42.3
- (1 -2 2), 2θ 38.15, I 52.0
- (-2 1 1), 2θ 42.99, I 35.5
- (1 2 0), 2θ 47.13, I 38.8



Record 6
Structure and computed XRD peak list of Au2Se2Cl (a PBE-relaxed structure; copper Kα).
Intensities are scaled so that the largest is 100.

```
data_Au2Se2Cl
_chemical_formula_sum 'Au4 Se4 Cl2'
_space_group_name_H-M_alt 'P -1'
_space_group_IT_number 2
_space_group_name_Hall '-P 1'
_cell_length_a 4.1104
_cell_length_b 6.2288
_cell_length_c 10.6599
_cell_angle_alpha 104.72
_cell_angle_beta 90.07
_cell_angle_gamma 109.19
loop_
_atom_site_label
_atom_site_type_symbol
_atom_site_fract_x
_atom_site_fract_y
_atom_site_fract_z
Au1 Au 0.0059 0.0094 0.3205
Au2 Au 0.3674 0.7357 0.9428
Se1 Se 0.1785 0.3554 0.2022
Se2 Se 0.4015 0.8021 0.1847
Cl1 Cl 0.1475 0.2959 0.5425
```

Peak list (10 most intense, 2θ from 15° to 90°, in order of rising 2θ)
- (1 -1 1), 2θ 23.85, I 43.9
- (1 0 1), 2θ 25.36, I 100.0
- (0 1 -3), 2θ 26.56, I 53.8
- (0 2 -1), 2θ 30.39, I 47.4
- (0 2 -2), 2θ 31.70, I 41.6
- (1 1 0), 2θ 32.19, I 41.5
- (1 0 3), 2θ 36.64, I 53.6
- (2 -1 0), 2θ 44.07, I 53.4
- (1 -3 0), 2θ 45.72, I 43.3
- (1 1 3), 2θ 45.95, I 47.1



Record 7
Structure and computed XRD peak list of AuSe2Cl (a PBE-relaxed structure; copper Kα).
Intensities are scaled so that the largest is 100.

```
data_AuSe2Cl
_chemical_formula_sum 'Au4 Se8 Cl4'
_space_group_name_H-M_alt 'C 2 2 21'
_space_group_IT_number 20
_space_group_name_Hall 'C 2c 2'
_cell_length_a 8.7169
_cell_length_b 11.8606
_cell_length_c 4.9873
_cell_angle_alpha 90.00
_cell_angle_beta 90.00
_cell_angle_gamma 90.00
loop_
_atom_site_label
_atom_site_type_symbol
_atom_site_fract_x
_atom_site_fract_y
_atom_site_fract_z
Au1 Au 0.2028 0.0000 0.0000
Se1 Se 0.1247 0.3887 0.8031
Cl1 Cl 0.0000 0.1107 0.2500
```

Peak list (10 most intense, 2θ from 15° to 90°, in order of rising 2θ)
- (1 1 1), 2θ 21.86, I 100.0
- (0 2 1), 2θ 23.30, I 55.9
- (2 2 0), 2θ 25.36, I 31.3
- (2 0 1), 2θ 27.17, I 28.6
- (1 3 1), 2θ 30.62, I 74.5
- (2 2 1), 2θ 31.15, I 23.8
- (2 4 0), 2θ 36.61, I 50.8
- (1 5 1), 2θ 43.50, I 31.3
- (0 4 2), 2θ 47.65, I 28.3
- (3 1 2), 2θ 48.73, I 27.7



Record 8
Structure and computed XRD peak list of TlAuSeCl (a PBE-relaxed structure; copper Kα).
Intensities are scaled so that the largest is 100.

```
data_TlAuSeCl
_chemical_formula_sum 'Tl2 Au2 Se2 Cl2'
_space_group_name_H-M_alt 'C 1 m 1'
_space_group_IT_number 8
_space_group_name_Hall 'C -2y'
_cell_length_a 16.4969
_cell_length_b 3.6982
_cell_length_c 3.6927
_cell_angle_alpha 90.00
_cell_angle_beta 90.54
_cell_angle_gamma 90.00
loop_
_atom_site_label
_atom_site_type_symbol
_atom_site_fract_x
_atom_site_fract_y
_atom_site_fract_z
Tl1 Tl 0.0000 0.0000 0.0000
Au1 Au 0.2235 0.0000 0.4899
Se1 Se 0.1929 0.5000 0.9883
Cl1 Cl 0.4063 0.0000 0.4965
```

Peak list (10 most intense, 2θ from 15° to 90°, in order of rising 2θ)
- (4 0 0), 2θ 21.55, I 100.0
- (1 1 0), 2θ 24.67, I 42.5
- (2 0 -1), 2θ 26.35, I 35.7
- (2 0 1), 2θ 26.54, I 35.1
- (3 1 0), 2θ 29.10, I 24.8
- (1 1 -1), 2θ 34.76, I 81.6
- (5 1 0), 2θ 36.50, I 37.2
- (3 1 -1), 2θ 38.03, I 43.8
- (3 1 1), 2θ 38.23, I 46.2
- (0 2 0), 2θ 49.32, I 35.4



Record 9
Structure and computed XRD peak list of TlAuSeCl (a PBE-relaxed structure; copper Kα).
Intensities are scaled so that the largest is 100.

```
data_TlAuSeCl
_chemical_formula_sum 'Tl1 Au1 Se1 Cl1'
_space_group_name_H-M_alt 'P 1 m 1'
_space_group_IT_number 6
_space_group_name_Hall 'P -2y'
_cell_length_a 4.6560
_cell_length_b 3.4241
_cell_length_c 7.3803
_cell_angle_alpha 90.00
_cell_angle_beta 108.07
_cell_angle_gamma 90.00
loop_
_atom_site_label
_atom_site_type_symbol
_atom_site_fract_x
_atom_site_fract_y
_atom_site_fract_z
Tl1 Tl 0.0000 0.0000 0.0000
Au1 Au 0.7880 0.0000 0.5829
Se1 Se 0.2320 0.0000 0.4689
Cl1 Cl 0.5537 0.5000 0.1113
```

Peak list (10 most intense, 2θ from 15° to 90°, in order of rising 2θ)
- (1 0 -1), 2θ 20.09, I 100.0
- (0 0 2), 2θ 25.39, I 79.1
- (0 1 0), 2θ 26.02, I 81.8
- (1 1 -1), 2θ 33.10, I 87.4
- (0 1 2), 2θ 36.67, I 51.0
- (1 0 2), 2θ 37.32, I 31.4
- (2 0 -1), 2θ 38.68, I 39.6
- (1 1 2), 2θ 46.06, I 33.5
- (1 1 -3), 2θ 46.22, I 33.2
- (2 1 -1), 2θ 47.21, I 34.0



Record 10
Structure and computed XRD peak list of SiAu2Cl (a PBE-relaxed structure; copper Kα).
Intensities are scaled so that the largest is 100.

```
data_SiAu2Cl
_chemical_formula_sum 'Si1 Au2 Cl1'
_space_group_name_H-M_alt 'P 1 m 1'
_space_group_IT_number 6
_space_group_name_Hall 'P -2y'
_cell_length_a 4.1878
_cell_length_b 4.9691
_cell_length_c 4.1992
_cell_angle_alpha 90.00
_cell_angle_beta 107.59
_cell_angle_gamma 90.00
loop_
_atom_site_label
_atom_site_type_symbol
_atom_site_fract_x
_atom_site_fract_y
_atom_site_fract_z
Si1 Si 0.0000 0.0000 0.0000
Au1 Au 0.1431 0.5000 0.8565
Au2 Au 0.3752 0.0000 0.6239
Cl1 Cl 0.6538 0.5000 0.3458
```

Peak list (10 most intense, 2θ from 15° to 90°, in order of rising 2θ)
- (1 0 0), 2θ 22.24, I 89.3
- (0 1 1), 2θ 28.66, I 64.0
- (1 1 -1), 2θ 32.00, I 100.0
- (0 2 0), 2θ 36.15, I 40.8
- (1 0 1), 2θ 36.26, I 40.4
- (1 2 0), 2θ 42.86, I 34.5
- (2 1 -1), 2θ 47.94, I 35.9
- (0 1 2), 2θ 49.07, I 30.4
- (2 1 0), 2θ 49.19, I 30.1
- (1 2 1), 2θ 52.14, I 28.5



Record 11
Structure and computed XRD peak list of Sm2AuCl (a PBE-relaxed structure; copper Kα).
Intensities are scaled so that the largest is 100.

```
data_Sm2AuCl
_chemical_formula_sum 'Sm6 Au3 Cl3'
_space_group_name_H-M_alt 'R -3 m'
_space_group_IT_number 166
_space_group_name_Hall '-R 3 2"'
_cell_length_a 4.2552
_cell_length_b 4.2552
_cell_length_c 20.2908
_cell_angle_alpha 90.00
_cell_angle_beta 90.00
_cell_angle_gamma 120.00
loop_
_atom_site_label
_atom_site_type_symbol
_atom_site_fract_x
_atom_site_fract_y
_atom_site_fract_z
Sm1 Sm 0.0000 0.0000 0.2480
Au1 Au 0.0000 0.0000 0.5000
Cl1 Cl 0.0000 0.0000 0.0000
```

Peak list (10 most intense, 2θ from 15° to 90°, in order of rising 2θ)
- (1 0 1), 2θ 24.55, I 13.9
- (1 0 4), 2θ 29.97, I 100.0
- (1 1 0), 2θ 42.49, I 38.7
- (0 1 8), 2θ 43.31, I 36.4
- (1 1 3), 2θ 44.65, I 7.4
- (0 2 4), 2θ 52.86, I 20.4
- (2 0 8), 2θ 62.28, I 12.4
- (2 1 4), 2θ 70.06, I 17.5
- (1 1 12), 2θ 71.24, I 16.5
- (1 2 8), 2θ 78.31, I 12.9



Record 12
Structure and computed XRD peak list of SnAuCl4 (a PBE-relaxed structure; copper Kα).
Intensities are scaled so that the largest is 100.

```
data_SnAuCl4
_chemical_formula_sum 'Sn2 Au2 Cl8'
_space_group_name_H-M_alt 'P 2 2 2'
_space_group_IT_number 16
_space_group_name_Hall 'P 2 2'
_cell_length_a 6.0815
_cell_length_b 6.0849
_cell_length_c 10.8721
_cell_angle_alpha 90.00
_cell_angle_beta 90.00
_cell_angle_gamma 90.00
loop_
_atom_site_label
_atom_site_type_symbol
_atom_site_fract_x
_atom_site_fract_y
_atom_site_fract_z
Sn1 Sn 0.0000 0.0000 0.0000
Sn2 Sn 0.5000 0.0000 0.5000
Au1 Au 0.0000 0.0000 0.5000
Au2 Au 0.5000 0.5000 0.5000
Cl1 Cl 0.2209 0.2807 0.3638
Cl2 Cl 0.2237 0.2218 0.8801
```

Peak list (10 most intense, 2θ from 15° to 90°, in order of rising 2θ)
- (0 0 2), 2θ 16.31, I 100.0
- (1 0 1), 2θ 16.70, I 29.8
- (1 1 0), 2θ 20.65, I 46.3
- (1 1 2), 2θ 26.42, I 80.1
- (2 0 1), 2θ 30.52, I 38.4
- (2 0 2), 2θ 33.77, I 75.1
- (2 2 0), 2θ 42.01, I 38.0
- (2 0 4), 2θ 44.71, I 66.3
- (2 2 2), 2θ 45.35, I 31.7
- (0 0 6), 2θ 50.32, I 30.4